For Rb2W2O7, a DFT-relaxed cell (GGA+U, the Materials Project) gives the calculated XRD peak list in this record (Cu Kα X-rays).

Structure:
```
Rb2W2O7
1.0
3.9041 0.0000 0.0000
0.0000 14.6675 0.0000
-0.0083 0.0000 6.2695
Rb W O
4 4 14
direct
0.0046 0.1732 0.3297 Rb
0.0046 0.3268 0.8297 Rb
0.9954 0.6732 0.1703 Rb
0.9954 0.8268 0.6703 Rb
0.4904 0.5595 0.7164 W
0.4904 0.9405 0.2164 W
0.5096 0.0595 0.7836 W
0.5096 0.4405 0.2836 W
0.0030 0.0493 0.7760 O
0.0030 0.4507 0.2760 O
0.4980 0.6773 0.8017 O
0.4980 0.8227 0.3017 O
0.4986 0.5780 0.4146 O
0.4986 0.9220 0.9146 O
0.5000 0.0000 0.5000 O
0.5000 0.5000 0.0000 O
0.5014 0.0780 0.0854 O
0.5014 0.4220 0.5854 O
0.5020 0.1773 0.6983 O
0.5020 0.3227 0.1983 O
0.9970 0.5493 0.7240 O
0.9970 0.9507 0.2240 O
```

Main lines, low angle first (10° ≤ 2θ ≤ 90°):
2θ/deg  Rel. int.  h k l
12.1  70  0 2 0
18.6  25  0 2 1
22.8  21  1 0 0
25.9  67  1 2 0
28.2  100  0 4 1
28.5  43  0 0 2
29.6  98  1 2 -1
43.7  21  1 6 0
46.5  23  2 0 0
55.3  35  2 4 -1